No. 1
Calculated X-ray powder pattern of GdOF for CuKα, from the PBE geometry in the Materials Project.

Atomic structure:
Cell lengths 6.8531, 6.8531, 6.8531 Å; angles 32.94, 32.94, 32.94 degrees
Atoms (fractional coordinates):
1 Gd 0.2409 0.2409 0.2409
2 Gd 0.7591 0.7591 0.7591
3 O 0.1221 0.1221 0.1221
4 O 0.8779 0.8779 0.8779
5 F 0.3704 0.3704 0.3704
6 F 0.6296 0.6296 0.6296

The 10 most intense peaks (10 to 90 degrees two-theta), by angle:
- 2θ 27.55, rel. 30
- 2θ 28.06, rel. 100
- 2θ 32.37, rel. 37
- 2θ 46.10, rel. 32
- 2θ 46.76, rel. 37
- 2θ 54.54, rel. 12
- 2θ 55.13, rel. 27
- 2θ 55.42, rel. 15
- 2θ 75.37, rel. 12
- 2θ 86.35, rel. 10

---

No. 2
Calculated X-ray powder pattern of GdOF for CuKα, from the PBE geometry in the Materials Project.

Atomic structure:
Cell lengths 3.9256, 3.9256, 5.6007 Å; angles 90.00, 90.00, 90.00 degrees
Atoms (fractional coordinates):
1 Gd 0.2500 0.2500 0.2117
2 Gd 0.7500 0.7500 0.7883
3 O 0.2500 0.7500 0.0000
4 O 0.7500 0.2500 0.0000
5 F 0.2500 0.7500 0.5000
6 F 0.7500 0.2500 0.5000

The 10 most intense peaks (10 to 90 degrees two-theta), by angle:
- 2θ 27.75, rel. 100
- 2θ 31.96, rel. 8
- 2θ 32.25, rel. 21
- 2θ 39.53, rel. 9
- 2θ 46.04, rel. 33
- 2θ 46.25, rel. 20
- 2θ 54.42, rel. 9
- 2θ 54.80, rel. 30
- 2θ 74.14, rel. 7
- 2θ 85.58, rel. 10

---

No. 3
Calculated X-ray powder pattern of GdOF for CuKα, from the PBE geometry in the Materials Project.

Atomic structure:
Cell lengths 7.0874, 6.6631, 5.8630 Å; angles 68.57, 61.06, 50.36 degrees
Atoms (fractional coordinates):
1 Gd 0.0742 0.6758 0.0742
2 Gd 0.3242 0.9258 0.3242
3 Gd 0.6758 0.0742 0.6758
4 Gd 0.9258 0.3242 0.9258
5 O 0.0075 0.0075 0.7425
6 O 0.2575 0.2575 0.9925
7 O 0.7425 0.7425 0.0075
8 O 0.9925 0.9925 0.2575
9 F 0.0000 0.5000 0.5000
10 F 0.5000 0.0000 0.5000
11 F 0.5000 0.5000 0.0000
12 F 0.5000 0.5000 0.5000

The 10 most intense peaks (10 to 90 degrees two-theta), by angle:
- 2θ 17.34, rel. 30
- 2θ 25.65, rel. 90
- 2θ 28.69, rel. 100
- 2θ 30.95, rel. 40
- 2θ 32.63, rel. 21
- 2θ 33.25, rel. 30
- 2θ 40.77, rel. 39
- 2θ 45.59, rel. 47
- 2θ 53.15, rel. 40
- 2θ 55.37, rel. 21

---

No. 4
Calculated X-ray powder pattern of Gd3SOF5 for CuKα, from the PBE geometry in the Materials Project.

Atomic structure:
Cell lengths 9.5340, 3.7518, 9.5950 Å; angles 90.00, 119.51, 90.00 degrees
Atoms (fractional coordinates):
1 Gd 0.0000 0.0000 0.0000
2 Gd 0.1065 0.5000 0.6883
3 Gd 0.2715 0.5000 0.3749
4 Gd 0.5287 0.0000 0.8188
5 Gd 0.7008 0.0000 0.5070
6 Gd 0.8234 0.5000 0.2386
7 S 0.0778 0.0000 0.4418
8 S 0.7343 0.5000 0.7714
9 O 0.0218 0.5000 0.1559
10 O 0.8414 0.5000 0.4913
11 F 0.1298 0.5000 0.9414
12 F 0.2597 0.0000 0.2218
13 F 0.2844 0.0000 0.8201
14 F 0.3570 0.5000 0.6699
15 F 0.4501 0.0000 0.5370
16 F 0.5177 0.5000 0.3771
17 F 0.5641 0.5000 0.9840
18 F 0.6771 0.0000 0.2533
19 F 0.7835 0.0000 0.0568
20 F 0.9741 0.0000 0.7288

The 10 most intense peaks (10 to 90 degrees two-theta), by angle:
- 2θ 18.47, rel. 29
- 2θ 26.06, rel. 49
- 2θ 28.35, rel. 100
- 2θ 28.62, rel. 45
- 2θ 30.22, rel. 55
- 2θ 30.32, rel. 29
- 2θ 32.11, rel. 44
- 2θ 46.37, rel. 33
- 2θ 50.48, rel. 28
- 2θ 57.16, rel. 30

---

No. 5
Calculated X-ray powder pattern of Gd3Se4O12F for CuKα, from the PBE geometry in the Materials Project.

Atomic structure:
Cell lengths 10.5745, 10.5745, 7.0086 Å; angles 90.00, 90.00, 120.00 degrees
Atoms (fractional coordinates):
1 Gd 0.0748 0.5374 0.0000
2 Gd 0.4626 0.5374 0.0000
3 Gd 0.4626 0.9252 0.0000
4 Gd 0.5374 0.0748 0.5000
5 Gd 0.5374 0.4626 0.5000
6 Gd 0.9252 0.4626 0.5000
7 Se 0.1554 0.3108 0.2332
8 Se 0.1554 0.8446 0.2332
9 Se 0.3108 0.1554 0.7332
10 Se 0.3333 0.6667 0.5681
11 Se 0.6667 0.3333 0.0681
12 Se 0.6892 0.8446 0.2332
13 Se 0.8446 0.1554 0.7332
14 Se 0.8446 0.6892 0.7332
15 O 0.0812 0.4160 0.3032
16 O 0.0812 0.6652 0.3032
17 O 0.1632 0.5816 0.6786
18 O 0.1819 0.3639 0.9973
19 O 0.1819 0.8181 0.9973
20 O 0.3348 0.4160 0.3032
21 O 0.3348 0.9188 0.3032
22 O 0.3639 0.1819 0.4973
23 O 0.4160 0.0812 0.8032
24 O 0.4160 0.3348 0.8032
25 O 0.4184 0.5816 0.6786
26 O 0.4184 0.8368 0.6786
27 O 0.5816 0.1632 0.1786
28 O 0.5816 0.4184 0.1786
29 O 0.5840 0.6652 0.3032
30 O 0.5840 0.9188 0.3032
31 O 0.6361 0.8181 0.9973
32 O 0.6652 0.0812 0.8032
33 O 0.6652 0.5840 0.8032
34 O 0.8181 0.1819 0.4973
35 O 0.8181 0.6361 0.4973
36 O 0.8368 0.4184 0.1786
37 O 0.9188 0.3348 0.8032
38 O 0.9188 0.5840 0.8032
39 F 0.3333 0.6667 0.0460
40 F 0.6667 0.3333 0.5460

The 10 most intense peaks (10 to 90 degrees two-theta), by angle:
- 2θ 19.39, rel. 38
- 2θ 23.20, rel. 100
- 2θ 27.25, rel. 43
- 2θ 28.77, rel. 88
- 2θ 31.98, rel. 58
- 2θ 32.17, rel. 88
- 2θ 33.91, rel. 64
- 2θ 45.05, rel. 47
- 2θ 46.92, rel. 39
- 2θ 50.66, rel. 37

---

No. 6
Calculated X-ray powder pattern of GdPtF7 for CuKα, from the PBE geometry in the Materials Project.

Atomic structure:
Cell lengths 9.0183, 5.6058, 12.1395 Å; angles 90.00, 117.75, 90.00 degrees
Atoms (fractional coordinates):
1 Gd 0.1872 0.2390 0.2643
2 Gd 0.1872 0.2610 0.7643
3 Gd 0.8128 0.7390 0.2357
4 Gd 0.8128 0.7610 0.7357
5 Pt 0.2727 0.7419 0.0429
6 Pt 0.2727 0.7581 0.5429
7 Pt 0.7273 0.2419 0.4571
8 Pt 0.7273 0.2581 0.9571
9 F 0.0267 0.7451 0.9504
10 F 0.0267 0.7549 0.4504
11 F 0.0313 0.5888 0.7319
12 F 0.0313 0.9112 0.2319
13 F 0.2555 0.5554 0.1742
14 F 0.2555 0.9446 0.6742
15 F 0.2741 0.0336 0.1335
16 F 0.2741 0.4664 0.6335
17 F 0.2788 0.0564 0.4588
18 F 0.2788 0.4436 0.9588
19 F 0.2954 0.5665 0.4158
20 F 0.2954 0.9335 0.9158
21 F 0.4813 0.2279 0.3598
22 F 0.4813 0.2721 0.8598
23 F 0.5187 0.7279 0.1402
24 F 0.5187 0.7721 0.6402
25 F 0.7046 0.0665 0.0842
26 F 0.7046 0.4335 0.5842
27 F 0.7212 0.5564 0.0412
28 F 0.7212 0.9436 0.5412
29 F 0.7259 0.5336 0.3665
30 F 0.7259 0.9664 0.8665
31 F 0.7445 0.0554 0.3258
32 F 0.7445 0.4446 0.8258
33 F 0.9687 0.0888 0.7681
34 F 0.9687 0.4112 0.2681
35 F 0.9733 0.2451 0.5496
36 F 0.9733 0.2549 0.0496

The 10 most intense peaks (10 to 90 degrees two-theta), by angle:
- 2θ 21.85, rel. 100
- 2θ 22.28, rel. 43
- 2θ 22.93, rel. 15
- 2θ 26.11, rel. 16
- 2θ 28.78, rel. 33
- 2θ 29.75, rel. 16
- 2θ 31.93, rel. 17
- 2θ 44.20, rel. 17
- 2θ 44.52, rel. 17
- 2θ 47.82, rel. 26

---

No. 7
Calculated X-ray powder pattern of Rb3GdF6 for CuKα, from the PBE geometry in the Materials Project.

Atomic structure:
Cell lengths 7.0716, 7.0716, 7.0716 Å; angles 117.86, 117.86, 93.76 degrees
Atoms (fractional coordinates):
1 Rb 0.0000 0.0000 0.0000
2 Rb 0.2500 0.7500 0.5000
3 Rb 0.7500 0.2500 0.5000
4 Gd 0.5000 0.5000 0.0000
5 F 0.1959 0.5000 0.6959
6 F 0.2664 0.2664 0.0000
7 F 0.5000 0.1959 0.6959
8 F 0.5000 0.8041 0.3041
9 F 0.7336 0.7336 0.0000
10 F 0.8041 0.5000 0.3041

The 10 most intense peaks (10 to 90 degrees two-theta), by angle:
- 2θ 15.21, rel. 27
- 2θ 24.39, rel. 99
- 2θ 25.24, rel. 100
- 2θ 34.76, rel. 28
- 2θ 37.20, rel. 21
- 2θ 43.44, rel. 60
- 2θ 44.99, rel. 36
- 2θ 51.83, rel. 17
- 2θ 56.80, rel. 17
- 2θ 69.49, rel. 17

---

No. 8
Calculated X-ray powder pattern of Rb3GdF6 for CuKα, from the PBE geometry in the Materials Project.

Atomic structure:
Cell lengths 6.9225, 6.9225, 6.9225 Å; angles 60.00, 60.00, 60.00 degrees
Atoms (fractional coordinates):
1 Rb 0.0000 0.0000 0.0000
2 Rb 0.2500 0.2500 0.2500
3 Rb 0.7500 0.7500 0.7500
4 Gd 0.5000 0.5000 0.5000
5 F 0.2729 0.2729 0.7271
6 F 0.2729 0.7271 0.2729
7 F 0.2729 0.7271 0.7271
8 F 0.7271 0.2729 0.2729
9 F 0.7271 0.2729 0.7271
10 F 0.7271 0.7271 0.2729

The 10 most intense peaks (10 to 90 degrees two-theta), by angle:
- 2θ 15.68, rel. 11
- 2θ 18.12, rel. 10
- 2θ 25.74, rel. 100
- 2θ 36.72, rel. 38
- 2θ 45.38, rel. 42
- 2θ 52.91, rel. 24
- 2θ 59.74, rel. 20
- 2θ 72.21, rel. 23
- 2θ 83.85, rel. 11
- 2θ 89.55, rel. 10

---

No. 9
Calculated X-ray powder pattern of GdZrF7 for CuKα, from the PBE geometry in the Materials Project.

Atomic structure:
Cell lengths 6.2083, 5.7773, 8.3953 Å; angles 90.00, 101.83, 90.00 degrees
Atoms (fractional coordinates):
1 Gd 0.1556 0.0000 0.1848
2 Gd 0.8444 0.5000 0.8152
3 Zr 0.3123 0.9902 0.7238
4 Zr 0.6877 0.4902 0.2762
5 F 0.0462 0.2016 0.7135
6 F 0.0486 0.3115 0.0242
7 F 0.1229 0.6970 0.7181
8 F 0.2557 0.9944 0.4767
9 F 0.3594 0.9867 0.9718
10 F 0.4259 0.2742 0.2675
11 F 0.4641 0.7538 0.2610
12 F 0.5359 0.2538 0.7390
13 F 0.5741 0.7742 0.7325
14 F 0.6406 0.4867 0.0282
15 F 0.7443 0.4944 0.5233
16 F 0.8771 0.1970 0.2819
17 F 0.9514 0.8115 0.9758
18 F 0.9538 0.7016 0.2865

The 10 most intense peaks (10 to 90 degrees two-theta), by angle:
- 2θ 21.22, rel. 100
- 2θ 21.63, rel. 36
- 2θ 25.20, rel. 24
- 2θ 26.62, rel. 16
- 2θ 28.20, rel. 29
- 2θ 30.96, rel. 13
- 2θ 42.65, rel. 13
- 2θ 43.06, rel. 15
- 2θ 46.66, rel. 15
- 2θ 49.66, rel. 14

---

No. 10
Calculated X-ray powder pattern of GeF2 for CuKα, from the PBE geometry in the Materials Project.

Atomic structure:
Cell lengths 4.9713, 5.2396, 8.2460 Å; angles 90.00, 90.00, 90.00 degrees
Atoms (fractional coordinates):
1 Ge 0.2261 0.0253 0.1240
2 Ge 0.2739 0.9747 0.6240
3 Ge 0.7261 0.4747 0.8760
4 Ge 0.7739 0.5253 0.3760
5 F 0.0344 0.6270 0.5307
6 F 0.0946 0.2538 0.2853
7 F 0.4054 0.7462 0.7853
8 F 0.4656 0.3730 0.0307
9 F 0.5344 0.8730 0.4693
10 F 0.5946 0.2462 0.7147
11 F 0.9054 0.7538 0.2147
12 F 0.9656 0.1270 0.9693

The 10 most intense peaks (10 to 90 degrees two-theta), by angle:
- 2θ 20.86, rel. 14
- 2θ 24.69, rel. 100
- 2θ 26.98, rel. 29
- 2θ 27.53, rel. 74
- 2θ 28.12, rel. 74
- 2θ 44.86, rel. 48
- 2θ 46.02, rel. 46
- 2θ 50.62, rel. 16
- 2θ 51.03, rel. 31
- 2θ 58.13, rel. 14

---

No. 11
Calculated X-ray powder pattern of Ge7F16 for CuKα, from the PBE geometry in the Materials Project.

Atomic structure:
Cell lengths 9.9975, 9.9975, 10.4356 Å; angles 90.60, 90.60, 45.66 degrees
Atoms (fractional coordinates):
1 Ge 0.0164 0.7171 0.2153
2 Ge 0.0491 0.2464 0.2653
3 Ge 0.0509 0.9491 0.5000
4 Ge 0.1047 0.4576 0.5597
5 Ge 0.2464 0.0491 0.7653
6 Ge 0.3540 0.5143 0.8354
7 Ge 0.4576 0.1047 0.0597
8 Ge 0.5143 0.3540 0.3354
9 Ge 0.5188 0.6411 0.1118
10 Ge 0.5462 0.8891 0.3980
11 Ge 0.6411 0.5188 0.6118
12 Ge 0.7171 0.0164 0.7153
13 Ge 0.8891 0.5462 0.8980
14 Ge 0.9491 0.0509 0.0000
15 F 0.0081 0.5522 0.7263
16 F 0.0129 0.2895 0.8417
17 F 0.0643 0.0766 0.1539
18 F 0.0766 0.0643 0.6539
19 F 0.0799 0.7978 0.0708
20 F 0.1722 0.9355 0.9137
21 F 0.2034 0.3568 0.4021
22 F 0.2162 0.2277 0.1213
23 F 0.2277 0.2162 0.6213
24 F 0.2614 0.6043 0.2891
25 F 0.2895 0.0129 0.3417
26 F 0.3092 0.4102 0.6078
27 F 0.3568 0.2034 0.9021
28 F 0.4059 0.6204 0.7125
29 F 0.4102 0.3092 0.1078
30 F 0.4905 0.7687 0.5564
31 F 0.4945 0.9030 0.0216
32 F 0.4994 0.5167 0.9601
33 F 0.5167 0.4994 0.4601
34 F 0.5522 0.0081 0.2263
35 F 0.6043 0.2614 0.7891
36 F 0.6204 0.4059 0.2125
37 F 0.6402 0.6858 0.2977
38 F 0.6858 0.6402 0.7977
39 F 0.6918 0.9811 0.0069
40 F 0.7687 0.4905 0.0564
41 F 0.7978 0.0799 0.5708
42 F 0.9030 0.4945 0.5216
43 F 0.9055 0.9358 0.3003
44 F 0.9355 0.1722 0.4137
45 F 0.9358 0.9055 0.8003
46 F 0.9811 0.6918 0.5069

The 10 most intense peaks (10 to 90 degrees two-theta), by angle:
- 2θ 20.38, rel. 44
- 2θ 24.90, rel. 42
- 2θ 25.28, rel. 100
- 2θ 25.65, rel. 97
- 2θ 26.32, rel. 92
- 2θ 28.22, rel. 41
- 2θ 28.59, rel. 38
- 2θ 36.04, rel. 25
- 2θ 45.63, rel. 33
- 2θ 45.90, rel. 25